[1]
The following is a simulated XRD peak list of GdDyAg2As4. It was derived from a cell relaxed with PBE, using Cu Kα, 1.54184 Å.
Lines closer than 0.1° are merged.

Top 10 peaks for 2θ = 15–90°, in order of rising 2θ:
2θ 23.84, I = 13, (1 0 1); 2θ 28.21, I = 13, (1 0 2); 2θ 34.76, I = 18, (0 0 4); 2θ 36.19, I = 100, (1 1 2); 2θ 41.64, I = 12, (1 0 4); 2θ 45.30, I = 30, (2 0 0); 2θ 58.35, I = 21, (2 0 4); 2θ 63.23, I = 14, (1 1 6); 2θ 76.82, I = 12, (2 2 4); 2θ 77.66, I = 21, (3 1 2)

Cell and atoms:
Unit cell a=4.003 b=4.003 c=10.323 alpha=90.00 beta=90.00 gamma=90.00
Atoms (fractional coordinates):
Gd  0.000  0.000  0.000
Dy  0.500  0.500  0.452
Ag  0.000  0.500  0.725
Ag  0.500  0.000  0.725
As  0.000  0.000  0.536
As  0.000  0.500  0.227
As  0.500  0.000  0.227
As  0.500  0.500  0.913

[2]
The following is a simulated XRD peak list of PrDyAg2As4. It was derived from a cell relaxed with PBE, using Cu Kα, 1.54184 Å.
Lines closer than 0.1° are merged.

Top 10 peaks for 2θ = 15–90°, in order of rising 2θ:
2θ 23.61, I = 12, (1 0 1); 2θ 27.91, I = 13, (1 0 2); 2θ 34.29, I = 18, (0 0 4); 2θ 35.82, I = 100, (1 1 2); 2θ 41.12, I = 11, (1 0 4); 2θ 44.89, I = 31, (2 0 0); 2θ 57.65, I = 20, (2 0 4); 2θ 62.45, I = 13, (1 1 6); 2θ 75.89, I = 11, (2 2 4); 2θ 76.83, I = 21, (3 1 2)

Cell and atoms:
Unit cell a=4.039 b=4.039 c=10.462 alpha=90.00 beta=90.00 gamma=90.00
Atoms (fractional coordinates):
Pr  0.000  0.000  0.000
Dy  0.500  0.500  0.455
Ag  0.000  0.500  0.721
Ag  0.500  0.000  0.721
As  0.000  0.000  0.536
As  0.000  0.500  0.234
As  0.500  0.000  0.234
As  0.500  0.500  0.904

[3]
The following is a simulated XRD peak list of AgHgAsO. It was derived from a cell relaxed with PBE, using Cu Kα, 1.54184 Å.
Lines closer than 0.1° are merged.

Top 10 peaks for 2θ = 15–90°, in order of rising 2θ:
2θ 20.85, I = 18, (0 1 1); 2θ 23.64, I = 29, (0 2 0); 2θ 25.08, I = 32, (1 1 0); 2θ 30.54, I = 100, (1 1 1); 2θ 34.71, I = 49, (0 0 2); 2θ 37.03, I = 50, (1 2 1); 2θ 42.44, I = 21, (0 2 2); 2θ 45.02, I = 23, (2 0 0); 2θ 46.10, I = 33, (1 3 1); 2θ 58.07, I = 21, (2 0 2)

Cell and atoms:
Unit cell a=4.027 b=7.526 c=5.169 alpha=90.00 beta=90.00 gamma=90.00
Atoms (fractional coordinates):
Ag  0.000  0.233  0.000
Ag  0.000  0.767  0.500
Hg  0.500  0.181  0.500
Hg  0.500  0.819  0.000
As  0.000  0.421  0.484
As  0.000  0.579  0.984
O  0.500  0.110  0.983
O  0.500  0.890  0.483